# 1
Theoretical powder X-ray diffraction pattern of TlRe3S4Cl2 for Cu Kα (λ = 1.5418 Å), from a structure optimized by DFT (GGA-PBE).
No peak broadening, texture or thermal motion is included.

Structural model:
```
TlRe3S4Cl2
1.0
6.4364 0.0000 0.0000
-0.9697 9.1472 0.0000
-0.7970 -1.8775 17.0677
Tl Re S Cl
4 12 16 8
direct
0.0341 0.4910 0.3444 Tl
0.4586 0.0116 0.1679 Tl
0.5414 0.9884 0.8321 Tl
0.9659 0.5090 0.6556 Tl
0.0403 0.3164 0.9494 Re
0.0774 0.5904 0.9120 Re
0.2238 0.9270 0.5041 Re
0.2751 0.5250 0.0384 Re
0.4295 0.1023 0.4162 Re
0.4593 0.1606 0.5712 Re
0.5407 0.8394 0.4288 Re
0.5705 0.8977 0.5838 Re
0.7249 0.4750 0.9616 Re
0.7762 0.0730 0.4959 Re
0.9226 0.4096 0.0880 Re
0.9596 0.6836 0.0506 Re
0.1470 0.1869 0.4913 S
0.1483 0.6092 0.1630 S
0.2164 0.8777 0.3630 S
0.2204 0.2749 0.0702 S
0.2710 0.9849 0.6449 S
0.2892 0.7729 0.0021 S
0.3440 0.6908 0.5160 S
0.3574 0.4341 0.9019 S
0.6426 0.5659 0.0981 S
0.6560 0.3092 0.4840 S
0.7108 0.2271 0.9979 S
0.7290 0.0151 0.3551 S
0.7796 0.7251 0.9298 S
0.7836 0.1223 0.6370 S
0.8517 0.3908 0.8370 S
0.8530 0.8131 0.5087 S
0.0824 0.0787 0.8819 Cl
0.1806 0.7078 0.7972 Cl
0.3341 0.2335 0.3071 Cl
0.4120 0.3679 0.6644 Cl
0.5880 0.6321 0.3356 Cl
0.6659 0.7665 0.6929 Cl
0.8194 0.2922 0.2028 Cl
0.9176 0.9213 0.1181 Cl
```

Most intense lines, 2θ from 15° to 90°, by angle:
2θ/deg, d_spacing, I_rel
15.08, 5.873, 22
16.04, 5.524, 99
17.46, 5.079, 100
17.83, 4.975, 66
19.29, 4.602, 38
19.53, 4.546, 29
28.95, 3.084, 53
34.50, 2.600, 24
38.73, 2.325, 56
43.40, 2.085, 30
44.02, 2.057, 23
45.09, 2.011, 31

# 2
Theoretical powder X-ray diffraction pattern of ReSe4Cl6 for Cu Kα (λ = 1.5418 Å), from a structure optimized by DFT (GGA-PBE).
No peak broadening, texture or thermal motion is included.

Structural model:
```
ReSe4Cl6
1.0
10.8172 0.0000 0.0000
0.0000 11.2522 0.0000
0.0000 0.0000 10.8408
Re Se Cl
4 16 24
direct
0.0000 0.0000 0.0000 Re
0.0000 0.5000 0.5000 Re
0.5000 0.0000 0.5000 Re
0.5000 0.5000 0.0000 Re
0.0884 0.0996 0.4274 Se
0.0884 0.4004 0.9274 Se
0.1081 0.6020 0.9779 Se
0.1081 0.8980 0.4779 Se
0.3919 0.6020 0.4779 Se
0.3919 0.8980 0.9779 Se
0.4116 0.0996 0.9274 Se
0.4116 0.4004 0.4274 Se
0.5884 0.5996 0.5726 Se
0.5884 0.9004 0.0726 Se
0.6081 0.1020 0.0221 Se
0.6081 0.3980 0.5221 Se
0.8919 0.1020 0.5221 Se
0.8919 0.3980 0.0221 Se
0.9116 0.5996 0.0726 Se
0.9116 0.9004 0.5726 Se
0.0858 0.6579 0.6167 Cl
0.0858 0.8421 0.1167 Cl
0.1270 0.1356 0.1027 Cl
0.1270 0.3644 0.6027 Cl
0.1548 0.5264 0.3466 Cl
0.1548 0.9736 0.8466 Cl
0.3452 0.5264 0.8466 Cl
0.3452 0.9736 0.3466 Cl
0.3730 0.1356 0.6027 Cl
0.3730 0.3644 0.1027 Cl
0.4142 0.6579 0.1167 Cl
0.4142 0.8421 0.6167 Cl
0.5858 0.1579 0.3833 Cl
0.5858 0.3421 0.8833 Cl
0.6270 0.6356 0.8973 Cl
0.6270 0.8644 0.3973 Cl
0.6548 0.0264 0.6534 Cl
0.6548 0.4736 0.1534 Cl
0.8452 0.0264 0.1534 Cl
0.8452 0.4736 0.6534 Cl
0.8730 0.6356 0.3973 Cl
0.8730 0.8644 0.8973 Cl
0.9142 0.1579 0.8833 Cl
0.9142 0.3421 0.3833 Cl
```

Most intense lines, 2θ from 15° to 90°, by angle:
2θ/deg, d_spacing, I_rel
15.75, 5.626, 38
16.36, 5.417, 100
22.79, 3.902, 27
23.23, 3.829, 23
26.46, 3.368, 19
28.19, 3.165, 18
30.80, 2.903, 15
35.49, 2.529, 18
36.08, 2.489, 20
41.84, 2.159, 25
43.39, 2.085, 18
49.70, 1.834, 20

# 3
Theoretical powder X-ray diffraction pattern of ReSeCl for Cu Kα (λ = 1.5418 Å), from a structure optimized by DFT (GGA-PBE).
No peak broadening, texture or thermal motion is included.

Structural model:
```
ReSeCl
1.0
5.9414 -7.2781 0.0000
5.9414 7.2781 0.0000
0.0000 0.0000 11.0233
Re Se Cl
12 12 12
direct
0.1061 0.6093 0.6807 Re
0.1210 0.8790 0.7500 Re
0.1837 0.6866 0.9058 Re
0.3134 0.8163 0.5942 Re
0.3765 0.6235 0.7500 Re
0.3907 0.8939 0.8193 Re
0.6093 0.1061 0.3193 Re
0.6235 0.3765 0.2500 Re
0.6866 0.1837 0.0942 Re
0.8163 0.3134 0.4058 Re
0.8790 0.1210 0.2500 Re
0.8939 0.3907 0.1807 Re
0.0527 0.7957 0.5346 Se
0.0738 0.3239 0.3334 Se
0.2043 0.9473 0.9654 Se
0.2942 0.5527 0.5343 Se
0.3239 0.0738 0.6666 Se
0.4473 0.7058 0.9657 Se
0.5527 0.2942 0.4657 Se
0.6761 0.9262 0.1666 Se
0.7058 0.4473 0.0343 Se
0.7957 0.0527 0.4654 Se
0.9262 0.6761 0.8334 Se
0.9473 0.2043 0.0346 Se
0.0442 0.9558 0.2500 Cl
0.0975 0.5923 0.1106 Cl
0.1836 0.4337 0.8311 Cl
0.4077 0.9025 0.3894 Cl
0.4337 0.1836 0.1689 Cl
0.4612 0.5388 0.2500 Cl
0.5388 0.4612 0.7500 Cl
0.5663 0.8164 0.6689 Cl
0.5923 0.0975 0.8894 Cl
0.8164 0.5663 0.3311 Cl
0.9025 0.4077 0.6106 Cl
0.9558 0.0442 0.7500 Cl
```

Most intense lines, 2θ from 15° to 90°, by angle:
2θ/deg, d_spacing, I_rel
37.95, 2.371, 69
38.32, 2.349, 59
40.02, 2.253, 86
41.07, 2.198, 60
41.86, 2.158, 63
42.57, 2.124, 57
43.94, 2.061, 57
45.02, 2.014, 75
45.60, 1.989, 100
45.89, 1.978, 77
50.13, 1.820, 64
52.42, 1.745, 51

# 4
Theoretical powder X-ray diffraction pattern of Re3Se2Cl5 for Cu Kα (λ = 1.5418 Å), from a structure optimized by DFT (GGA-PBE).
No peak broadening, texture or thermal motion is included.

Structural model:
```
Re3Se2Cl5
1.0
9.4810 0.0000 0.0000
1.2588 9.4194 0.0000
1.2120 1.0702 12.5502
Re Se Cl
12 8 20
direct
0.0000 0.0000 0.0000 Re
0.0282 0.0179 0.7024 Re
0.0998 0.1754 0.8463 Re
0.1930 0.9027 0.8517 Re
0.3315 0.5314 0.4222 Re
0.4426 0.4492 0.2328 Re
0.4850 0.6973 0.2923 Re
0.5453 0.3210 0.4104 Re
0.5874 0.5693 0.4691 Re
0.6979 0.4874 0.2802 Re
0.8339 0.1157 0.8517 Re
0.9287 0.8432 0.8571 Re
0.1174 0.7579 0.7115 Se
0.2553 0.0611 0.9884 Se
0.3784 0.7674 0.4754 Se
0.4363 0.4111 0.5871 Se
0.5900 0.6098 0.1133 Se
0.6470 0.2534 0.2257 Se
0.7433 0.9463 0.9989 Se
0.7878 0.3640 0.4523 Se
0.0428 0.0380 0.5178 Cl
0.0889 0.7446 0.9958 Cl
0.0934 0.5537 0.5004 Cl
0.2015 0.3861 0.8340 Cl
0.2464 0.6592 0.2497 Cl
0.2746 0.0745 0.7060 Cl
0.2978 0.2929 0.3615 Cl
0.3367 0.3771 0.0892 Cl
0.4176 0.7678 0.8528 Cl
0.4463 0.9382 0.2169 Cl
0.5772 0.0795 0.4862 Cl
0.6127 0.2533 0.8464 Cl
0.6886 0.6497 0.6134 Cl
0.7238 0.7316 0.3368 Cl
0.7798 0.9626 0.7166 Cl
0.8245 0.6327 0.8665 Cl
0.9130 0.2567 0.9847 Cl
0.9355 0.4681 0.1951 Cl
0.9365 0.2817 0.7041 Cl
0.9837 0.9864 0.1862 Cl
```

Most intense lines, 2θ from 15° to 90°, by angle:
2θ/deg, d_spacing, I_rel
33.77, 2.655, 66
34.33, 2.612, 55
35.76, 2.511, 48
39.04, 2.307, 62
41.60, 2.171, 52
42.16, 2.143, 48
42.56, 2.124, 44
43.53, 2.079, 45
44.25, 2.047, 48
45.20, 2.006, 100
45.35, 2.000, 53
45.91, 1.977, 45

# 5
Theoretical powder X-ray diffraction pattern of ReTeSeCl4 for Cu Kα (λ = 1.5418 Å), from a structure optimized by DFT (GGA-PBE).
No peak broadening, texture or thermal motion is included.

Structural model:
```
ReTeSeCl4
1.0
-5.5816 5.5816 6.9190
5.5816 -5.5816 6.9190
5.5816 5.5816 -6.9190
Re Te Se Cl
4 4 4 16
direct
0.5581 0.2091 0.4128 Re
0.7909 0.2038 0.3490 Re
0.7962 0.1453 0.5872 Re
0.8547 0.4419 0.6510 Re
0.0831 0.6681 0.9901 Te
0.3319 0.3220 0.4150 Te
0.6780 0.0930 0.0099 Te
0.9070 0.9169 0.5850 Te
0.0228 0.3017 0.6282 Se
0.6054 0.9772 0.2789 Se
0.6735 0.3946 0.3718 Se
0.6983 0.3265 0.7211 Se
0.0229 0.6264 0.1660 Cl
0.0575 0.6469 0.7020 Cl
0.1431 0.9771 0.6035 Cl
0.3044 0.6038 0.0632 Cl
0.3298 0.1114 0.1277 Cl
0.3531 0.0551 0.4106 Cl
0.3736 0.5396 0.3965 Cl
0.3962 0.4594 0.7006 Cl
0.4604 0.8569 0.8340 Cl
0.5406 0.2412 0.9368 Cl
0.6445 0.9425 0.5894 Cl
0.7588 0.6956 0.2994 Cl
0.7979 0.6702 0.7816 Cl
0.8886 0.0163 0.2184 Cl
0.9449 0.3555 0.2980 Cl
0.9837 0.2021 0.8723 Cl
```

Most intense lines, 2θ from 15° to 90°, by angle:
2θ/deg, d_spacing, I_rel
17.04, 5.203, 100
18.90, 4.696, 46
29.57, 3.021, 63
33.36, 2.686, 34
34.07, 2.631, 19
35.98, 2.496, 26
38.33, 2.348, 31
38.56, 2.335, 20
40.76, 2.214, 19
40.95, 2.204, 57
45.12, 2.010, 37
54.14, 1.694, 21

# 6
Theoretical powder X-ray diffraction pattern of ReTe2Cl4 for Cu Kα (λ = 1.5418 Å), from a structure optimized by DFT (GGA-PBE).
No peak broadening, texture or thermal motion is included.

Structural model:
```
ReTe2Cl4
1.0
-5.6015 5.6015 7.1457
5.6015 -5.6015 7.1457
5.6015 5.6015 -7.1457
Re Te Cl
4 8 16
direct
0.6343 0.0595 0.3386 Re
0.7043 0.3657 0.4251 Re
0.7209 0.2957 0.6614 Re
0.9405 0.2791 0.5749 Re
0.1495 0.1541 0.5507 Te
0.4012 0.8505 0.0046 Te
0.4638 0.2138 0.3838 Te
0.6034 0.5988 0.4493 Te
0.7862 0.1700 0.2500 Te
0.8300 0.0800 0.6162 Te
0.8459 0.3966 0.9954 Te
0.9200 0.5362 0.7500 Te
0.0633 0.6261 0.1698 Cl
0.0705 0.0107 0.2589 Cl
0.1064 0.9367 0.5627 Cl
0.1406 0.4266 0.5751 Cl
0.1756 0.3573 0.8481 Cl
0.1884 0.9295 0.9402 Cl
0.3739 0.5437 0.4373 Cl
0.4345 0.8594 0.2859 Cl
0.4563 0.8936 0.8302 Cl
0.5092 0.3275 0.1519 Cl
0.5734 0.1486 0.7141 Cl
0.6427 0.4908 0.8183 Cl
0.6725 0.8244 0.1817 Cl
0.7518 0.8116 0.7411 Cl
0.8514 0.5655 0.4249 Cl
0.9893 0.2482 0.0598 Cl
```

Most intense lines, 2θ from 15° to 90°, by angle:
2θ/deg, d_spacing, I_rel
16.71, 5.306, 100
24.92, 3.573, 31
29.42, 3.036, 77
32.32, 2.770, 46
35.85, 2.505, 45
36.24, 2.479, 53
38.09, 2.363, 37
40.76, 2.214, 59
43.04, 2.101, 44
44.15, 2.051, 30
44.70, 2.028, 58
45.91, 1.977, 35